Record 1
Diffraction record for CaNdHfCrO6. The X-ray powder pattern is simulated, not measured: it uses a PBE+U-relaxed structure and Cu Kα X-rays.
Lines closer than 0.1° are merged.

```
data_CaNdHfCrO6
_chemical_formula_sum 'Ca4 Nd4 Hf4 Cr4 O24'
_space_group_name_H-M_alt 'F -4 3 m'
_space_group_IT_number 216
_space_group_name_Hall 'F -4 2 3'
_cell_length_a 7.9808
_cell_length_b 7.9808
_cell_length_c 7.9808
_cell_angle_alpha 90.00
_cell_angle_beta 90.00
_cell_angle_gamma 90.00
loop_
_atom_site_label
_atom_site_fract_x
_atom_site_fract_y
_atom_site_fract_z
_atom_site_occupancy
Ca1 0.0000 0.0000 0.0000 1
Nd1 0.0000 0.0000 0.5000 1
Hf1 0.2500 0.2500 0.2500 1
Cr1 0.2500 0.2500 0.7500 1
O1 0.0044 0.2500 0.7500 1
```

Largest 12 diffraction maxima, in order of rising 2θ, 2θ = 10–80°:
- 4.608 Å, 19.3°, I 37, hkl 1 1 1
- 3.990 Å, 22.3°, I 5, hkl 2 0 0
- 2.822 Å, 31.7°, I 100, hkl 2 2 0
- 2.406 Å, 37.4°, I 22, hkl 3 1 1
- 1.995 Å, 45.5°, I 32, hkl 4 0 0
- 1.831 Å, 49.8°, I 11, hkl 3 3 1
- 1.629 Å, 56.5°, I 39, hkl 4 2 2
- 1.536 Å, 60.3°, I 8, hkl 3 3 3
- 1.411 Å, 66.2°, I 19, hkl 4 4 0
- 1.349 Å, 69.7°, I 8, hkl 5 3 1
- 1.262 Å, 75.3°, I 17, hkl 6 2 0
- 1.217 Å, 78.6°, I 3, hkl 5 3 3

=====

Record 2
Diffraction record for CaHoCr2O6. The X-ray powder pattern is simulated, not measured: it uses a PBE+U-relaxed structure and Cu Kα X-rays.
Lines closer than 0.1° are merged.

```
data_CaHoCr2O6
_chemical_formula_sum 'Ca2 Ho2 Cr4 O12'
_space_group_name_H-M_alt 'P m n 21'
_space_group_IT_number 31
_cell_length_a 7.5834
_cell_length_b 5.5343
_cell_length_c 5.3036
_cell_angle_alpha 90.00
_cell_angle_beta 90.00
_cell_angle_gamma 90.00
loop_
_space_group_symop_operation_xyz
'x,y,z'
'-x+1/2,-y,z+1/2'
'-x,y,z'
'x+1/2,-y,z+1/2'
loop_
_atom_site_label
_atom_site_fract_x
_atom_site_fract_y
_atom_site_fract_z
_atom_site_occupancy
Ca1 0.0000 0.1978 0.0000 1
Ho1 0.0000 0.6833 0.5319 1
Cr1 0.2500 0.2461 0.5132 1
O1 0.0000 0.2852 0.4229 1
O2 0.0000 0.7796 0.1198 1
O3 0.1966 0.9430 0.7122 1
O4 0.1993 0.4620 0.8105 1
```

Largest 12 diffraction maxima, in order of rising 2θ, 2θ = 10–80°:
- 4.470 Å, 19.9°, I 30, hkl 1 1 0
- 4.346 Å, 20.4°, I 35, hkl 1 0 1
- 3.418 Å, 26.1°, I 17, hkl 1 1 1
- 2.767 Å, 32.4°, I 20, hkl 0 2 0
- 2.694 Å, 33.3°, I 100, hkl 2 1 1
- 2.652 Å, 33.8°, I 24, hkl 0 0 2
- 2.281 Å, 39.5°, I 22, hkl 3 0 1
- 1.915 Å, 47.5°, I 22, hkl 0 2 2
- 1.896 Å, 48.0°, I 16, hkl 4 0 0
- 1.698 Å, 54.0°, I 17, hkl 1 3 1
- 1.542 Å, 60.0°, I 11, hkl 4 0 2
- 1.539 Å, 60.1°, I 23, hkl 2 1 3

=====

Record 3
Diffraction record for Ca2CrIrO6. The X-ray powder pattern is simulated, not measured: it uses a PBE+U-relaxed structure and Cu Kα X-rays.
Lines closer than 0.1° are merged.

```
data_Ca2CrIrO6
_chemical_formula_sum 'Ca4 Cr2 Ir2 O12'
_space_group_name_H-M_alt 'P 1 21/c 1'
_space_group_IT_number 14
_cell_length_a 5.3860
_cell_length_b 5.5625
_cell_length_c 9.4034
_cell_angle_alpha 90.00
_cell_angle_beta 124.89
_cell_angle_gamma 90.00
loop_
_space_group_symop_operation_xyz
'x,y,z'
'-x,-y,-z'
'-x,y+1/2,-z+1/2'
'x,-y+1/2,z+1/2'
loop_
_atom_site_label
_atom_site_fract_x
_atom_site_fract_y
_atom_site_fract_z
_atom_site_occupancy
Ca1 0.2370 0.0545 0.2506 1
Cr1 0.5000 0.0000 0.0000 1
Ir1 0.0000 0.0000 0.5000 1
O1 0.1500 0.2036 0.9529 1
O2 0.2499 0.7012 0.9522 1
O3 0.3408 0.0273 0.7486 1
```

Largest 12 diffraction maxima, in order of rising 2θ, 2θ = 10–80°:
- 4.512 Å, 19.7°, I 37, hkl 0 1 1
- 4.416 Å, 20.1°, I 35, hkl 1 0 0
- 3.865 Å, 23.0°, I 73, hkl 1 1 -1
- 2.781 Å, 32.2°, I 25, hkl 0 2 0
- 2.732 Å, 32.8°, I 100, hkl 1 1 1
- 2.693 Å, 33.3°, I 23, hkl 2 0 -2
- 2.353 Å, 38.2°, I 15, hkl 1 2 -2
- 2.312 Å, 39.0°, I 15, hkl 2 1 -3
- 1.935 Å, 47.0°, I 28, hkl 2 2 -2
- 1.928 Å, 47.1°, I 15, hkl 0 0 4
- 1.596 Å, 57.8°, I 18, hkl 1 3 -3
- 1.562 Å, 59.1°, I 24, hkl 3 1 -5

=====

Record 4
Diffraction record for CaLaCrNiO6. The X-ray powder pattern is simulated, not measured: it uses a PBE+U-relaxed structure and Cu Kα X-rays.
Lines closer than 0.1° are merged.

```
data_CaLaCrNiO6
_chemical_formula_sum 'Ca2 La2 Cr2 Ni2 O12'
_space_group_name_H-M_alt 'P 1 c 1'
_space_group_IT_number 7
_cell_length_a 5.4701
_cell_length_b 5.5491
_cell_length_c 9.4021
_cell_angle_alpha 90.00
_cell_angle_beta 125.54
_cell_angle_gamma 90.00
loop_
_space_group_symop_operation_xyz
'x,y,z'
'x,-y,z+1/2'
loop_
_atom_site_label
_atom_site_fract_x
_atom_site_fract_y
_atom_site_fract_z
_atom_site_occupancy
Ca1 0.0000 0.2031 0.0000 1
La1 0.5184 0.2866 0.4988 1
Cr1 0.7612 0.2488 0.2488 1
Ni1 0.2622 0.2502 0.7502 1
O1 0.0690 0.2292 0.4866 1
O2 0.4438 0.2675 0.0136 1
O3 0.5263 0.0449 0.2890 1
O4 0.6076 0.4706 0.7944 1
O5 0.9246 0.0280 0.7088 1
O6 0.9953 0.4479 0.2075 1
```

Largest 12 diffraction maxima, in order of rising 2θ, 2θ = 10–80°:
- 4.492 Å, 19.8°, I 17, hkl 0 1 1
- 4.450 Å, 20.0°, I 18, hkl 1 0 -2
- 2.775 Å, 32.3°, I 19, hkl 0 2 0
- 2.730 Å, 32.8°, I 100, hkl 1 1 -3
- 2.336 Å, 38.5°, I 9, hkl 2 1 -1
- 1.948 Å, 46.6°, I 25, hkl 2 2 -2
- 1.913 Å, 47.5°, I 13, hkl 0 0 4
- 1.593 Å, 57.9°, I 12, hkl 1 3 -3
- 1.578 Å, 58.5°, I 18, hkl 3 1 -5
- 1.575 Å, 58.6°, I 8, hkl 0 2 4
- 1.567 Å, 58.9°, I 9, hkl 2 0 2
- 1.365 Å, 68.8°, I 13, hkl 2 2 2

=====

Record 5
Diffraction record for CaLa2CrO6. The X-ray powder pattern is simulated, not measured: it uses a PBE+U-relaxed structure and Cu Kα X-rays.
Lines closer than 0.1° are merged.

```
data_CaLa2CrO6
_chemical_formula_sum 'Ca3 La6 Cr3 O18'
_space_group_name_H-M_alt 'R -3'
_space_group_IT_number 148
_space_group_name_Hall '-R 3'
_cell_length_a 5.8699
_cell_length_b 5.8699
_cell_length_c 13.7335
_cell_angle_alpha 90.00
_cell_angle_beta 90.00
_cell_angle_gamma 120.00
loop_
_atom_site_label
_atom_site_fract_x
_atom_site_fract_y
_atom_site_fract_z
_atom_site_occupancy
Ca1 0.0000 0.0000 0.0000 1
La1 0.0000 0.0000 0.2593 1
Cr1 0.0000 0.0000 0.5000 1
O1 0.0369 0.6153 0.2488 1
```

Largest 12 diffraction maxima, in order of rising 2θ, 2θ = 10–80°:
- 4.086 Å, 21.8°, I 47, hkl 0 1 2
- 2.935 Å, 30.5°, I 100, hkl 1 1 0
- 2.845 Å, 31.4°, I 99, hkl 1 0 4
- 2.384 Å, 37.7°, I 27, hkl 2 0 2
- 2.043 Å, 44.3°, I 54, hkl 0 2 4
- 1.850 Å, 49.2°, I 15, hkl 3 -2 2
- 1.694 Å, 54.1°, I 29, hkl 3 0 0
- 1.677 Å, 54.7°, I 44, hkl 2 1 4
- 1.626 Å, 56.6°, I 16, hkl 0 1 8
- 1.467 Å, 63.4°, I 14, hkl 2 2 0
- 1.304 Å, 72.5°, I 16, hkl 1 3 4
- 1.280 Å, 74.1°, I 15, hkl 3 -2 8

=====

Record 6
Diffraction record for CaLaCrSbO6. The X-ray powder pattern is simulated, not measured: it uses a PBE+U-relaxed structure and Cu Kα X-rays.
Lines closer than 0.1° are merged.

```
data_CaLaCrSbO6
_chemical_formula_sum 'Ca2 La2 Cr2 Sb2 O12'
_space_group_name_H-M_alt 'P 1'
_space_group_IT_number 1
_cell_length_a 5.7156
_cell_length_b 5.9188
_cell_length_c 7.8512
_cell_angle_alpha 90.27
_cell_angle_beta 90.00
_cell_angle_gamma 94.78
loop_
_space_group_symop_operation_xyz
'x,y,z'
loop_
_atom_site_label
_atom_site_fract_x
_atom_site_fract_y
_atom_site_fract_z
_atom_site_occupancy
Ca1 0.0000 0.0000 0.0000 1
Ca2 0.4784 0.3917 0.5002 1
La1 0.5132 0.5025 0.0012 1
La2 0.9937 0.8930 0.4984 1
Cr1 0.4932 0.9502 0.7510 1
Cr2 0.9980 0.4424 0.2522 1
Sb1 0.4942 0.9525 0.2497 1
Sb2 0.9967 0.4446 0.7507 1
O1 0.0952 0.4021 0.9969 1
O2 0.1640 0.1706 0.6944 1
O3 0.2154 0.1248 0.2964 1
O4 0.3004 0.6357 0.7022 1
O5 0.3062 0.6518 0.3026 1
O6 0.3939 0.9111 0.0040 1
O7 0.5913 0.9896 0.4972 1
O8 0.6801 0.2532 0.2042 1
O9 0.6933 0.2557 0.8000 1
O10 0.7749 0.7821 0.2022 1
O11 0.8314 0.7216 0.8091 1
O12 0.8917 0.4852 0.5055 1
```

Largest 12 diffraction maxima, in order of rising 2θ, 2θ = 10–80°:
- 4.716 Å, 18.8°, I 43, hkl 0 1 1
- 4.610 Å, 19.3°, I 44, hkl 1 0 1
- 2.949 Å, 30.3°, I 45, hkl 0 2 0
- 2.893 Å, 30.9°, I 100, hkl 1 -1 2
- 2.848 Å, 31.4°, I 47, hkl 2 0 0
- 2.784 Å, 32.1°, I 43, hkl 1 1 -2
- 2.775 Å, 32.3°, I 41, hkl 1 1 2
- 2.140 Å, 42.2°, I 27, hkl 2 -2 0
- 1.963 Å, 46.3°, I 28, hkl 0 0 4
- 1.676 Å, 54.8°, I 26, hkl -3 1 2
- 1.616 Å, 57.0°, I 20, hkl 2 0 4
- 1.610 Å, 57.2°, I 20, hkl 3 1 -2

=====

Record 7
Diffraction record for CaLaCrSbO6. The X-ray powder pattern is simulated, not measured: it uses a PBE+U-relaxed structure and Cu Kα X-rays.
Lines closer than 0.1° are merged.

```
data_CaLaCrSbO6
_chemical_formula_sum 'Ca2 La2 Cr2 Sb2 O12'
_space_group_name_H-M_alt 'P 1'
_space_group_IT_number 1
_cell_length_a 5.6860
_cell_length_b 5.8961
_cell_length_c 7.8519
_cell_angle_alpha 89.99
_cell_angle_beta 89.82
_cell_angle_gamma 89.91
loop_
_space_group_symop_operation_xyz
'x,y,z'
loop_
_atom_site_label
_atom_site_fract_x
_atom_site_fract_y
_atom_site_fract_z
_atom_site_occupancy
Ca1 0.0000 0.0000 0.0000 1
Ca2 0.5001 0.3874 0.5000 1
La1 0.4769 0.4973 0.9982 1
La2 0.9771 0.8901 0.4982 1
Cr1 0.4879 0.9463 0.2481 1
Cr2 0.9879 0.4411 0.7480 1
Sb1 0.4881 0.9466 0.7497 1
Sb2 0.9881 0.4409 0.2496 1
O1 0.0923 0.4778 0.4957 1
O2 0.1715 0.7285 0.1952 1
O3 0.2008 0.7623 0.8001 1
O4 0.2736 0.2553 0.1979 1
O5 0.3033 0.2318 0.8005 1
O6 0.3902 0.9827 0.5015 1
O7 0.5922 0.9097 0.9958 1
O8 0.6720 0.6584 0.6953 1
O9 0.7003 0.6255 0.3001 1
O10 0.7731 0.1318 0.6979 1
O11 0.8038 0.1562 0.3006 1
O12 0.8902 0.4047 0.0015 1
```

Largest 12 diffraction maxima, in order of rising 2θ, 2θ = 10–80°:
- 4.715 Å, 18.8°, I 31, hkl 0 1 1
- 4.606 Å, 19.3°, I 32, hkl 1 0 1
- 2.948 Å, 30.3°, I 32, hkl 0 2 0
- 2.839 Å, 31.5°, I 100, hkl 1 1 2
- 2.830 Å, 31.6°, I 65, hkl 1 1 -2
- 2.046 Å, 44.3°, I 34, hkl 2 2 0
- 1.963 Å, 46.2°, I 19, hkl 0 0 4
- 1.808 Å, 50.5°, I 10, hkl 1 3 -1
- 1.679 Å, 54.7°, I 19, hkl 1 3 -2
- 1.641 Å, 56.0°, I 16, hkl 3 1 2
- 1.638 Å, 56.2°, I 17, hkl 3 1 -2
- 1.634 Å, 56.3°, I 13, hkl 0 2 4

=====

Record 8
Diffraction record for CaLaCrSnO6. The X-ray powder pattern is simulated, not measured: it uses a PBE+U-relaxed structure and Cu Kα X-rays.
Lines closer than 0.1° are merged.

```
data_CaLaCrSnO6
_chemical_formula_sum 'Ca2 La2 Cr2 Sn2 O12'
_space_group_name_H-M_alt 'P 1 c 1'
_space_group_IT_number 7
_cell_length_a 5.5950
_cell_length_b 5.6893
_cell_length_c 9.7148
_cell_angle_alpha 90.00
_cell_angle_beta 124.93
_cell_angle_gamma 90.00
loop_
_space_group_symop_operation_xyz
'x,y,z'
'x,-y,z+1/2'
loop_
_atom_site_label
_atom_site_fract_x
_atom_site_fract_y
_atom_site_fract_z
_atom_site_occupancy
Ca1 0.0000 0.2038 0.0000 1
La1 0.4757 0.2902 0.4990 1
Cr1 0.2369 0.2497 0.7501 1
Sn1 0.7358 0.2493 0.2486 1
O1 0.0804 0.0370 0.2983 1
O2 0.3878 0.4598 0.1987 1
O3 0.4761 0.0435 0.7010 1
O4 0.5797 0.2769 0.9959 1
O5 0.9005 0.2196 0.5029 1
O6 0.9965 0.4544 0.8004 1
```

Largest 12 diffraction maxima, in order of rising 2θ, 2θ = 10–80°:
- 4.629 Å, 19.2°, I 21, hkl 0 1 1
- 4.577 Å, 19.4°, I 21, hkl 1 0 -2
- 2.845 Å, 31.4°, I 24, hkl 0 2 0
- 2.818 Å, 31.7°, I 100, hkl 1 1 1
- 2.797 Å, 32.0°, I 23, hkl 2 0 -2
- 2.417 Å, 37.2°, I 8, hkl 1 2 0
- 2.395 Å, 37.5°, I 14, hkl 1 0 -4
- 1.993 Å, 45.5°, I 42, hkl 0 0 4
- 1.637 Å, 56.2°, I 16, hkl 1 3 -3
- 1.631 Å, 56.4°, I 11, hkl 0 2 4
- 1.621 Å, 56.8°, I 17, hkl 3 1 -1
- 1.617 Å, 57.0°, I 12, hkl 3 1 -5

=====

Record 9
Diffraction record for CaLaCrSnO6. The X-ray powder pattern is simulated, not measured: it uses a PBE+U-relaxed structure and Cu Kα X-rays.
Lines closer than 0.1° are merged.

```
data_CaLaCrSnO6
_chemical_formula_sum 'Ca4 La4 Cr4 Sn4 O24'
_space_group_name_H-M_alt 'F -4 3 m'
_space_group_IT_number 216
_space_group_name_Hall 'F -4 2 3'
_cell_length_a 7.9916
_cell_length_b 7.9916
_cell_length_c 7.9916
_cell_angle_alpha 90.00
_cell_angle_beta 90.00
_cell_angle_gamma 90.00
loop_
_atom_site_label
_atom_site_fract_x
_atom_site_fract_y
_atom_site_fract_z
_atom_site_occupancy
Ca1 0.0000 0.0000 0.0000 1
La1 0.0000 0.0000 0.5000 1
Cr1 0.2500 0.2500 0.2500 1
Sn1 0.2500 0.2500 0.7500 1
O1 0.0036 0.2500 0.2500 1
```

Largest 12 diffraction maxima, in order of rising 2θ, 2θ = 10–80°:
- 4.614 Å, 19.2°, I 28, hkl 1 1 1
- 2.825 Å, 31.7°, I 100, hkl 2 2 0
- 2.410 Å, 37.3°, I 17, hkl 3 1 1
- 2.307 Å, 39.0°, I 4, hkl 2 2 2
- 1.998 Å, 45.4°, I 35, hkl 4 0 0
- 1.833 Å, 49.7°, I 8, hkl 3 3 1
- 1.631 Å, 56.4°, I 39, hkl 4 2 2
- 1.538 Å, 60.2°, I 6, hkl 3 3 3
- 1.413 Å, 66.1°, I 21, hkl 4 4 0
- 1.351 Å, 69.6°, I 6, hkl 5 3 1
- 1.264 Å, 75.2°, I 17, hkl 6 2 0
- 1.219 Å, 78.5°, I 2, hkl 5 3 3

=====

Record 10
Diffraction record for CaLaCrSnO6. The X-ray powder pattern is simulated, not measured: it uses a PBE+U-relaxed structure and Cu Kα X-rays.
Lines closer than 0.1° are merged.

```
data_CaLaCrSnO6
_chemical_formula_sum 'Ca4 La4 Cr4 Sn4 O24'
_space_group_name_H-M_alt 'F -4 3 m'
_space_group_IT_number 216
_space_group_name_Hall 'F -4 2 3'
_cell_length_a 8.1052
_cell_length_b 8.1052
_cell_length_c 8.1052
_cell_angle_alpha 90.00
_cell_angle_beta 90.00
_cell_angle_gamma 90.00
loop_
_atom_site_label
_atom_site_fract_x
_atom_site_fract_y
_atom_site_fract_z
_atom_site_occupancy
Ca1 0.0000 0.0000 0.0000 1
La1 0.2500 0.2500 0.7500 1
Cr1 0.0000 0.0000 0.5000 1
Sn1 0.2500 0.2500 0.2500 1
O1 0.0000 0.0000 0.2695 1
```

Largest 11 diffraction maxima, in order of rising 2θ, 2θ = 10–80°:
- 4.680 Å, 19.0°, I 2, hkl 1 1 1
- 4.053 Å, 21.9°, I 17, hkl 2 0 0
- 2.866 Å, 31.2°, I 100, hkl 2 2 0
- 2.340 Å, 38.5°, I 24, hkl 2 2 2
- 2.026 Å, 44.7°, I 35, hkl 4 0 0
- 1.812 Å, 50.3°, I 10, hkl 4 2 0
- 1.654 Å, 55.5°, I 39, hkl 4 2 2
- 1.433 Å, 65.1°, I 20, hkl 4 4 0
- 1.351 Å, 69.6°, I 6, hkl 4 4 2
- 1.282 Å, 74.0°, I 18, hkl 6 2 0
- 1.222 Å, 78.2°, I 8, hkl 6 2 2